Calculated PXRD pattern
Compound: PrP3Pd7
Radiation: CuKα
Structure: a PBE-relaxed structure
Intensities are scaled so that the largest is 100.

Most intense lines, 15 to 90 degrees two-theta, by angle:
(hkl)  d [Å]  Rel. int.
0 0 6  3.500  14.7
0 2 4  2.803  49.8
2 1 1  2.488  69.4
0 1 8  2.440  63.1
2 1 4  2.261  100.0
3 0 0  2.210  15.1
1 2 5  2.152  56.2
1 1 9  1.992  41.0
4 1 0  1.447  27.9
0 4 8  1.401  15.9

Crystal structure
```
data_PrP3Pd7
_symmetry_space_group_name_H-M 'R -3 c'
_symmetry_Int_Tables_number 167
_symmetry_space_group_name_Hall '-R 3 2"c'
_cell_length_a 7.6546
_cell_length_b 7.6546
_cell_length_c 20.9971
_cell_angle_alpha 90.00
_cell_angle_beta 90.00
_cell_angle_gamma 120.00
loop_
_atom_site_label
_atom_site_fract_x
_atom_site_fract_y
_atom_site_fract_z
Pr1 0.0000 0.0000 0.0000
P1 0.0000 0.3255 0.2500
Pd1 0.0000 0.0000 0.2500
Pd2 0.0156 0.2252 0.1393
```